For Tb2PmMnN4, a structure optimized by DFT (GGA-PBE) gives the simulated powder diffractogram in this record (λ = 1.5418 Å (Cu Kα)).
Lines closer than 0.1° are merged.

Largest 12 diffraction maxima, low angle first, 5° ≤ 2θ ≤ 70°:
2theta  I (rel.)
27.85  72.0
30.92  35.3
31.10  58.8
31.45  100.0
36.09  40.1
38.62  79.9
44.42  23.6
48.19  31.2
50.39  22.4
53.50  22.8
53.80  19.4
61.66  16.4

Structural model:
Cell lengths 5.999, 5.999, 11.569 Å; angles 90.00, 90.00, 147.00 degrees
Sites, in units of the cell vectors:
Tb 0.132 0.868 0.544
Tb 0.132 0.868 0.956
Tb 0.868 0.132 0.044
Tb 0.868 0.132 0.456
Pm 0.390 0.610 0.750
Pm 0.610 0.390 0.250
Mn 0.342 0.658 0.250
Mn 0.658 0.342 0.750
N 0.081 0.919 0.750
N 0.233 0.767 0.132
N 0.233 0.767 0.368
N 0.500 0.500 0.000
N 0.500 0.500 0.500
N 0.767 0.233 0.632
N 0.767 0.233 0.868
N 0.919 0.081 0.250